No. 1
Calculated powder diffraction line list
Compound: Ba3SrTl2Cu2HgO10
Radiation: Cu Kα (weighted mean of Kα1 and Kα2)
Structure: a cell relaxed with GGA-PBE
Intensities are scaled so that the largest is 100.

Atomic structure:
abc: 21.6658 21.6658 21.6658
angles: 169.67 169.67 14.63
Fractional positions:
Ba (0.0000, 0.0000, 0.0000)
Ba (0.0898, 0.0898, 0.0000)
Ba (0.8617, 0.8617, 0.0000)
Sr (0.7758, 0.7758, 0.0000)
Tl (0.2091, 0.2091, 0.0000)
Tl (0.6556, 0.6556, 0.0000)
Cu (0.3152, 0.3152, 0.0000)
Cu (0.5454, 0.5454, 0.0000)
Hg (0.4312, 0.4312, 0.0000)
O (0.0443, 0.5443, 0.5000)
O (0.1601, 0.1601, 0.0000)
O (0.2567, 0.2567, 0.0000)
O (0.3163, 0.8163, 0.5000)
O (0.3843, 0.3843, 0.0000)
O (0.4780, 0.4780, 0.0000)
O (0.5443, 0.0443, 0.5000)
O (0.6081, 0.6081, 0.0000)
O (0.7041, 0.7041, 0.0000)
O (0.8163, 0.3163, 0.5000)

Peak list (10 most intense, 2θ = 10–90°, in order of falling intensity)
Position (°2θ), d [Å], intensity
29.57, 3.021, 100
32.46, 2.758, 62
56.13, 1.639, 34
25.07, 3.552, 34
46.57, 1.950, 26
44.14, 2.052, 17
50.56, 1.805, 15
54.45, 1.685, 12
37.67, 2.388, 12
61.38, 1.510, 11

---

No. 2
Calculated powder diffraction line list
Compound: Gd2CoB3
Radiation: Cu Kα (weighted mean of Kα1 and Kα2)
Structure: a cell relaxed with GGA-PBE
Intensities are scaled so that the largest is 100.

Atomic structure:
abc: 3.3992 3.3992 8.1927
angles: 90.00 90.00 120.00
Fractional positions:
Gd (0.0000, 0.0000, 0.2353)
Gd (0.0000, 0.0000, 0.7647)
Co (0.3333, 0.6667, 0.5000)
B (0.3333, 0.6667, 0.0000)
B (0.6667, 0.3333, 0.0000)
B (0.6667, 0.3333, 0.5000)

Peak list (10 most intense, 2θ = 10–90°, in order of falling intensity)
Position (°2θ), d [Å], intensity
37.63, 2.391, 100
30.36, 2.944, 52
21.70, 4.096, 25
53.95, 1.700, 22
54.59, 1.681, 18
67.63, 1.385, 17
72.23, 1.308, 16
44.22, 2.048, 12
58.82, 1.570, 11
76.98, 1.239, 9

---

No. 3
Calculated powder diffraction line list
Compound: BaTi6O12
Radiation: Cu Kα (weighted mean of Kα1 and Kα2)
Structure: a cell relaxed with GGA-PBE
Intensities are scaled so that the largest is 100.

Atomic structure:
abc: 8.5113 8.5113 8.5113
angles: 106.08 106.08 116.49
Fractional positions:
Ba (0.2192, 0.2192, 0.0000)
Ba (0.7808, 0.7808, 0.0000)
Ti (0.0163, 0.4990, 0.1845)
Ti (0.1682, 0.9837, 0.4827)
Ti (0.1699, 0.3498, 0.5197)
Ti (0.3145, 0.8318, 0.8155)
Ti (0.3498, 0.8301, 0.1799)
Ti (0.4990, 0.3145, 0.4827)
Ti (0.5010, 0.6855, 0.5173)
Ti (0.6502, 0.1699, 0.8201)
Ti (0.6855, 0.1682, 0.1845)
Ti (0.8301, 0.6502, 0.4803)
Ti (0.8318, 0.0163, 0.5173)
Ti (0.9837, 0.5010, 0.8155)
O (0.1264, 0.8359, 0.6277)
O (0.1336, 0.1784, 0.6460)
O (0.1521, 0.8028, 0.9549)
O (0.1639, 0.5399, 0.7038)
O (0.1641, 0.7918, 0.2904)
O (0.1784, 0.5324, 0.0447)
O (0.1972, 0.1521, 0.3493)
O (0.2082, 0.4986, 0.3723)
O (0.4601, 0.1639, 0.6240)
O (0.4676, 0.5124, 0.6460)
O (0.4876, 0.1336, 0.9553)
O (0.4986, 0.1264, 0.2904)
O (0.5014, 0.8736, 0.7096)
O (0.5124, 0.8664, 0.0447)
O (0.5324, 0.4876, 0.3540)
O (0.5399, 0.8361, 0.3760)
O (0.7918, 0.5014, 0.6277)
O (0.8028, 0.8479, 0.6507)
O (0.8216, 0.4676, 0.9553)
O (0.8359, 0.2082, 0.7096)
O (0.8361, 0.4601, 0.2962)
O (0.8479, 0.1972, 0.0451)
O (0.8664, 0.8216, 0.3540)
O (0.8736, 0.1641, 0.3723)

Peak list (10 most intense, 2θ = 10–90°, in order of falling intensity)
Position (°2θ), d [Å], intensity
27.56, 3.237, 100
35.91, 2.501, 36
40.13, 2.247, 28
23.36, 3.809, 28
57.48, 1.603, 25
47.64, 1.909, 24
34.18, 2.623, 22
53.73, 1.706, 22
24.60, 3.619, 22
26.44, 3.371, 22

---

No. 4
Calculated powder diffraction line list
Compound: Ti3Au
Radiation: Cu Kα (weighted mean of Kα1 and Kα2)
Structure: a cell relaxed with GGA-PBE
Intensities are scaled so that the largest is 100.

Atomic structure:
abc: 4.0755 4.0755 4.0755
angles: 90.00 90.00 90.00
Fractional positions:
Ti (0.0000, 0.0000, 0.5000)
Ti (0.0000, 0.5000, 0.0000)
Ti (0.5000, 0.0000, 0.0000)
Au (0.5000, 0.5000, 0.5000)

Peak list (10 most intense, 2θ = 10–90°, in order of falling intensity)
Position (°2θ), d [Å], intensity
38.25, 2.353, 100
21.81, 4.076, 59
31.03, 2.882, 51
44.46, 2.038, 48
77.71, 1.229, 36
64.69, 1.441, 30
50.04, 1.823, 29
55.21, 1.664, 22
69.15, 1.359, 14
81.88, 1.177, 10

---

No. 5
Calculated powder diffraction line list
Compound: Ca3Ga4Ni4
Radiation: Cu Kα (weighted mean of Kα1 and Kα2)
Structure: a cell relaxed with GGA-PBE
Intensities are scaled so that the largest is 100.

Atomic structure:
abc: 6.4059 6.4059 6.4059
angles: 109.47 109.47 109.47
Fractional positions:
Ca (0.0000, 0.5000, 0.5000)
Ca (0.5000, 0.0000, 0.5000)
Ca (0.5000, 0.5000, 0.0000)
Ga (0.0000, 0.0000, 0.6100)
Ga (0.0000, 0.6100, 0.0000)
Ga (0.3900, 0.3900, 0.3900)
Ga (0.6100, 0.0000, 0.0000)
Ni (0.0000, 0.0000, 0.2454)
Ni (0.0000, 0.2454, 0.0000)
Ni (0.2454, 0.0000, 0.0000)
Ni (0.7546, 0.7546, 0.7546)

Peak list (10 most intense, 2θ = 10–90°, in order of falling intensity)
Position (°2θ), d [Å], intensity
38.49, 2.339, 100
34.29, 2.615, 97
16.95, 5.230, 96
45.90, 1.977, 93
52.49, 1.743, 87
79.95, 1.200, 36
87.47, 1.115, 23
58.53, 1.577, 22
29.58, 3.020, 18
72.25, 1.308, 16

---

No. 6
Calculated powder diffraction line list
Compound: Eu4Al
Radiation: Cu Kα (weighted mean of Kα1 and Kα2)
Structure: a cell relaxed with GGA-PBE
Intensities are scaled so that the largest is 100.

Atomic structure:
abc: 8.6318 8.6318 8.6318
angles: 60.00 60.00 60.00
Fractional positions:
Eu (0.2013, 0.7662, 0.7662)
Eu (0.2338, 0.2338, 0.2338)
Eu (0.2338, 0.2338, 0.7987)
Eu (0.2338, 0.7987, 0.2338)
Eu (0.7662, 0.2013, 0.7662)
Eu (0.7662, 0.7662, 0.2013)
Eu (0.7662, 0.7662, 0.7662)
Eu (0.7987, 0.2338, 0.2338)
Al (0.3750, 0.3750, 0.3750)
Al (0.6250, 0.6250, 0.6250)

Peak list (10 most intense, 2θ = 10–90°, in order of falling intensity)
Position (°2θ), d [Å], intensity
25.27, 3.524, 100
29.26, 3.052, 45
41.86, 2.158, 35
49.53, 1.840, 34
38.31, 2.349, 21
31.96, 2.801, 13
81.58, 1.180, 13
53.62, 1.709, 12
58.04, 1.589, 11
66.81, 1.400, 10